Diffraction record for CdRh3N. The powder diffraction line list is simulated, not measured: it uses a DFT-relaxed cell (PBE, Alexandria) and copper Kα.
Kinematic intensities with the Lorentz-polarization factor, no thermal factor.

```
data_CdRh3N
_chemical_formula_sum 'Cd8 Rh24 N8'
_space_group_name_H-M_alt 'C 1 2/c 1'
_space_group_IT_number 15
_cell_length_a 9.868
_cell_length_b 11.906
_cell_length_c 5.064
_cell_angle_alpha 90.00
_cell_angle_beta 96.38
_cell_angle_gamma 90.00
loop_
_space_group_symop_operation_xyz
'x,y,z'
'-x,-y,-z'
'-x,y,-z+1/2'
'x,-y,z+1/2'
'x+1/2,y+1/2,z'
'-x+1/2,-y+1/2,-z'
'-x+1/2,y+1/2,-z+1/2'
'x+1/2,-y+1/2,z+1/2'
loop_
_atom_site_label
_atom_site_type_symbol
_atom_site_fract_x
_atom_site_fract_y
_atom_site_fract_z
Cd1 Cd 0.134 0.068 0.064
Rh1 Rh 0.120 0.313 0.044
Rh2 Rh 0.134 0.443 0.532
Rh3 Rh 0.136 0.186 0.554
N1 N 0.000 0.247 0.750
N2 N 0.000 0.398 0.250
```

Main lines, sorted by position (2θ = 10–90°):
Position (°2θ)	d_spacing	I (rel.)
35.68	2.517	41
36.65	2.452	55
38.72	2.325	100
40.64	2.220	76
42.14	2.144	17
48.90	1.863	22
63.67	1.462	14
66.04	1.415	19
70.00	1.344	13
74.60	1.272	14